Diffraction record for NiPO4. The PXRD pattern is simulated, not measured: it uses the GGA+U geometry in the Materials Project and copper Kα.

Structural model:
a = 9.937 Å, b = 5.753 Å, c = 4.805 Å
α = 90.00°, β = 90.00°, γ = 90.00°
Space group Pnma (No. 62)
Unique sites:
Ni: 0.228 0.250 0.049 [4 per cell]
P: 0.093 0.750 0.105 [4 per cell]
O: 0.058 0.250 0.827 [4 per cell]
O: 0.110 0.750 0.789 [4 per cell]
O: 0.166 0.541 0.253 [8 per cell]

Principal peaks in the range 2θ = 5–70°, low angle first:
2θ = 17.85°, I 58; 2θ = 20.53°, I 55; 2θ = 25.77°, I 100; 2θ = 30.18°, I 23; 2θ = 31.09°, I 58; 2θ = 36.46°, I 88; 2θ = 37.55°, I 20; 2θ = 40.86°, I 18; 2θ = 52.99°, I 33; 2θ = 58.87°, I 20

Diffraction record for Sr2NiMoO6. The PXRD pattern is simulated, not measured: it uses the GGA+U geometry in the Materials Project and copper Kα.

Structural model:
a = 7.979 Å, b = 7.979 Å, c = 7.979 Å
α = 90.00°, β = 90.00°, γ = 90.00°
Space group Fm-3m (No. 225)
Unique sites:
Sr: 0.250 0.250 0.250 [8 per cell]
Ni: 0.000 0.000 0.000 [4 per cell]
Mo: 0.000 0.000 0.500 [4 per cell]
O: 0.000 0.000 0.257 [24 per cell]

Principal peaks in the range 2θ = 5–70°, low angle first:
2θ = 19.27°, I 4; 2θ = 22.28°, I 1; 2θ = 31.72°, I 100; 2θ = 37.38°, I 1; 2θ = 39.11°, I 5; 2θ = 45.47°, I 36; 2θ = 56.50°, I 38; 2θ = 60.27°, I 1; 2θ = 66.26°, I 21; 2θ = 69.72°, I 1

Diffraction record for CrBiO4. The PXRD pattern is simulated, not measured: it uses the GGA+U geometry in the Materials Project and copper Kα.

Structural model:
a = 7.014 Å, b = 7.302 Å, c = 8.362 Å
α = 90.00°, β = 126.32°, γ = 90.00°
Space group P2_1/c (No. 14)
Unique sites:
Cr: 0.194 0.164 0.298 [4 per cell]
Bi: 0.262 0.652 0.203 [4 per cell]
O: 0.110 0.712 0.388 [4 per cell]
O: 0.129 0.105 0.468 [4 per cell]
O: 0.306 0.515 0.751 [4 per cell]
O: 0.363 0.147 0.883 [4 per cell]

Principal peaks in the range 2θ = 5–70°, low angle first:
2θ = 17.95°, I 54; 2θ = 19.87°, I 57; 2θ = 26.46°, I 50; 2θ = 26.58°, I 32; 2θ = 27.79°, I 100; 2θ = 29.31°, I 43; 2θ = 31.67°, I 47; 2θ = 35.92°, I 30; 2θ = 45.11°, I 30; 2θ = 48.57°, I 30

Diffraction record for SrCaCeCoO6. The PXRD pattern is simulated, not measured: it uses the GGA+U geometry in the Materials Project and copper Kα.

Structural model:
a = 8.088 Å, b = 8.088 Å, c = 8.088 Å
α = 90.00°, β = 90.00°, γ = 90.00°
Space group F-43m (No. 216)
Unique sites:
Sr: 0.000 0.000 0.000 [4 per cell]
Ca: 0.000 0.000 0.500 [4 per cell]
Ce: 0.250 0.250 0.250 [4 per cell]
Co: 0.250 0.250 0.750 [4 per cell]
O: 0.019 0.250 0.750 [24 per cell]

Principal peaks in the range 2θ = 5–70°, low angle first:
2θ = 19.01°, I 15; 2θ = 21.98°, I 16; 2θ = 31.28°, I 100; 2θ = 36.86°, I 12; 2θ = 44.83°, I 36; 2θ = 49.10°, I 7; 2θ = 50.46°, I 6; 2θ = 55.68°, I 38; 2θ = 59.38°, I 4; 2θ = 65.26°, I 21